This entry pairs a crystal structure of ZnAuF5 with its computed XRD peak list. Radiation: Cu Kα X-rays. Structure: a crystal structure in Alexandria, relaxed with GGA-PBE.
Kinematic intensities with the Lorentz-polarization factor, no thermal factor.

Structural model:
a b c (Å): 5.411 5.542 7.853
angles (deg): 106.60 96.69 106.72
Space group P-1 (No. 2)
Asymmetric unit:
Zn1 0.000 0.000 0.000 (multiplicity 1)
Zn2 0.000 0.500 0.500 (multiplicity 1)
Au1 0.446 0.173 0.703 (multiplicity 2)
F1 0.144 0.275 0.615 (multiplicity 2)
F2 0.189 0.844 0.728 (multiplicity 2)
F3 0.262 0.297 0.006 (multiplicity 2)
F4 0.265 0.938 0.212 (multiplicity 2)
F5 0.308 0.549 0.370 (multiplicity 2)

Top 12 peaks for 10° ≤ 2θ ≤ 80°, in order of rising 2θ:
index, Position (°2θ), I (rel.)
0 0 1, 12.0, 21.5
1 0 0, 17.5, 23.8
0 1 -1, 17.8, 48.3
1 -1 1, 22.5, 100.0
0 1 1, 24.7, 56.1
1 0 -2, 26.7, 62.1
1 1 -1, 27.4, 39.5
0 1 2, 34.8, 22.1
-2 1 1, 35.5, 33.4
0 0 3, 36.7, 20.2
2 -2 2, 46.0, 20.4
1 2 -4, 54.8, 31.4


This entry pairs a crystal structure of FeAu2 with its computed XRD peak list. Radiation: Cu Kα X-rays. Structure: a crystal structure in Alexandria, relaxed with GGA-PBE.
Kinematic intensities with the Lorentz-polarization factor, no thermal factor.

Structural model:
a b c (Å): 2.814 2.814 25.394
angles (deg): 90.00 90.00 90.00
Space group I4_1/amd (No. 141, origin choice 2)
Asymmetric unit:
Fe1 0.000 0.250 0.375 (multiplicity 4)
Au1 0.000 0.250 0.800 (multiplicity 8)

Top 12 peaks for 10° ≤ 2θ ≤ 80°, in order of rising 2θ:
index, Position (°2θ), I (rel.)
0 0 8, 28.1, 44.7
1 0 1, 32.0, 80.1
1 0 5, 36.5, 74.5
1 0 7, 40.6, 100.0
0 0 12, 42.7, 29.8
1 0 9, 45.5, 21.0
1 1 2, 46.2, 58.1
1 1 6, 50.7, 53.1
1 0 13, 57.4, 20.2
2 0 0, 66.4, 23.8
1 1 14, 70.2, 37.6
2 1 5, 78.3, 16.4